# Gd2Er2CI5
Simulated X-ray powder pattern, Cu Kα (weighted mean of Kα1 and Kα2). Input: a PBE-relaxed structure.

Atomic structure:
Cell: 20.9664 3.9592 8.5502 Å, 90.00 101.60 90.00°
Space group C2/m (No. 12)
Symmetry-distinct sites (fractional):
Gd  0.1173  0.0000  0.0583 x4
Er  0.9998  0.5000  0.1879 x4
C  0.0000  0.0000  0.0000 x2
I  0.0000  0.0000  0.5000 x2
I  0.1488  0.5000  0.3376 x4
I  0.1501  0.5000  0.8103 x4

Main lines, most intense first (2θ = 10–90°):
30.78 deg, intensity 100; 34.95 deg, intensity 38; 26.03 deg, intensity 37; 40.74 deg, intensity 31; 10.56 deg, intensity 30; 29.13 deg, intensity 24